# 1
This entry pairs a crystal structure of Na4SnS4O14 with its theoretical PXRD pattern. Radiation: Cu Kα (weighted mean of Kα1 and Kα2). Structure: the PBE geometry in the Materials Project.
Lines closer than 0.1° are merged.

```
data_Na4SnS4O14
_symmetry_space_group_name_H-M 'C 1 c 1'
_symmetry_Int_Tables_number 9
_cell_length_a 8.4596
_cell_length_b 19.8680
_cell_length_c 10.4576
_cell_angle_alpha 90.00
_cell_angle_beta 109.24
_cell_angle_gamma 90.00
loop_
_symmetry_equiv_pos_as_xyz
'x,y,z'
'x,-y,z+1/2'
'x+1/2,y+1/2,z'
'x+1/2,-y+1/2,z+1/2'
loop_
_atom_site_label
_atom_site_fract_x
_atom_site_fract_y
_atom_site_fract_z
_atom_site_occupancy
Na1 0.0000 0.0349 0.0000 1
Na2 0.0880 0.3860 0.3766 1
Na3 0.2210 0.0539 0.7999 1
Na4 0.2814 0.2013 0.5553 1
Sn1 0.1696 0.3305 0.8310 1
S1 0.2900 0.4722 0.6969 1
S2 0.2911 0.2821 0.2541 1
S3 0.3745 0.0374 0.5769 1
S4 0.3869 0.2190 0.0127 1
O1 0.0416 0.3238 0.5695 1
O2 0.1182 0.3095 0.2144 1
O3 0.2142 0.2314 0.7535 1
O4 0.2442 0.0884 0.5921 1
O5 0.2507 0.4548 0.5508 1
O6 0.2763 0.0284 0.0302 1
O7 0.3174 0.2216 0.3409 1
O8 0.3185 0.1829 0.8525 1
O9 0.3364 0.4091 0.7857 1
O10 0.4077 0.3487 0.4239 1
O11 0.4328 0.3148 0.5363 1
O12 0.4336 0.2885 0.9781 1
O13 0.4380 0.4811 0.2425 1
O14 0.4856 0.0260 0.7274 1
```

Main lines, by angle (2θ from 10° to 90°):
| Position (°2θ) | I_rel | index |
| --- | --- | --- |
| 12.56 | 100 | 1 1 -1 |
| 17.39 | 93 | 1 3 0 |
| 20.06 | 68 | 0 2 2 |
| 22.27 | 93 | 2 0 0 |
| 25.28 | 85 | 2 2 -2 |
| 27.73 | 88 | 2 4 -1 |

# 2
This entry pairs a crystal structure of NiAg3 with its theoretical PXRD pattern. Radiation: Cu Kα (weighted mean of Kα1 and Kα2). Structure: the PBE geometry in the Materials Project.
Lines closer than 0.1° are merged.

```
data_NiAg3
_symmetry_space_group_name_H-M 'P m -3 m'
_symmetry_Int_Tables_number 221
_symmetry_space_group_name_Hall '-P 4 2 3'
_cell_length_a 4.0090
_cell_length_b 4.0090
_cell_length_c 4.0090
_cell_angle_alpha 90.00
_cell_angle_beta 90.00
_cell_angle_gamma 90.00
loop_
_atom_site_label
_atom_site_fract_x
_atom_site_fract_y
_atom_site_fract_z
_atom_site_occupancy
Ni1 0.0000 0.0000 0.0000 1
Ag1 0.0000 0.5000 0.5000 1
```

Main lines, by angle (2θ from 10° to 90°):
| Position (°2θ) | I_rel | index |
| --- | --- | --- |
| 22.17 | 4 | 1 0 0 |
| 38.91 | 100 | 1 1 1 |
| 45.24 | 48 | 2 0 0 |
| 65.90 | 29 | 2 2 0 |
| 79.25 | 34 | 3 1 1 |
| 83.54 | 10 | 2 2 2 |